Diffraction record for AcGa6Pd. The powder XRD pattern is theoretical, not measured: it uses a DFT-relaxed cell (GGA-PBE, Alexandria) and Cu Kα.
Intensities are scaled so that the largest is 100.

Peak list (8 most intense, 2θ from 10° to 80°, by angle)
d/Å  I/Imax  hkl
4.503  30  1 0 0
2.986  100  1 0 2
2.957  76  1 1 1
2.489  74  1 1 2
2.251  92  2 0 0
1.824  31  1 0 4
1.798  46  2 1 2
1.592  31  2 2 0

Crystal structure
Lattice parameters (Å, degrees): 4.5028 4.5028 7.9807 90.00 90.00 90.00
Fractional coordinates of all 8 atoms:
Ac (0.0000, 0.0000, 0.0000)
Ga (0.0000, 0.5000, 0.3321)
Ga (0.0000, 0.5000, 0.6679)
Ga (0.5000, 0.0000, 0.3321)
Ga (0.5000, 0.0000, 0.6679)
Ga (0.5000, 0.5000, 0.1557)
Ga (0.5000, 0.5000, 0.8443)
Pd (0.0000, 0.0000, 0.5000)